# 1
Structure and calculated X-ray powder pattern of La4NdPa3N8 (a crystal structure in Alexandria, relaxed with PBE; copper Kα).

Largest 6 diffraction maxima, in order of rising 2θ, 2θ from 10° to 90°:
2θ/deg	I/Imax
29.80	35
30.25	100
34.94	93
49.95	33
50.54	33
59.78	32

Atomic structure:
```
data_La4NdPa3N8
_chemical_formula_sum 'La12 Nd3 Pa9 N24'
_cell_length_a 7.2232
_cell_length_b 7.2232
_cell_length_c 17.9909
_cell_angle_alpha 90.00
_cell_angle_beta 90.00
_cell_angle_gamma 120.00
_space_group_name_H-M_alt 'R -3 m'
_space_group_IT_number 166
_space_group_name_Hall '-R 3 2"'
loop_
_atom_site_label
_atom_site_type_symbol
_atom_site_fract_x
_atom_site_fract_y
_atom_site_fract_z
_atom_site_occupancy
La1 La 0.0000 0.0000 0.0000 1
La2 La 0.0000 0.5000 0.0000 1
Nd1 Nd 0.0000 0.0000 0.5000 1
Pa1 Pa 0.0000 0.5000 0.5000 1
N1 N 0.0000 0.0000 0.2341 1
N2 N 0.0226 0.5113 0.7639 1
```

=====

# 2
Structure and calculated X-ray powder pattern of Sr2SnMo2 (a crystal structure in Alexandria, relaxed with PBE; copper Kα).

Largest 6 diffraction maxima, in order of rising 2θ, 2θ from 10° to 90°:
2θ/deg	I/Imax
30.00	82
32.50	100
34.28	45
39.32	34
53.14	29
68.41	22

Atomic structure:
```
data_Sr2SnMo2
_chemical_formula_sum 'Sr4 Sn2 Mo4'
_cell_length_a 7.2457
_cell_length_b 7.2457
_cell_length_c 5.2319
_cell_angle_alpha 90.00
_cell_angle_beta 90.00
_cell_angle_gamma 90.00
_space_group_name_H-M_alt 'P 4/m b m'
_space_group_IT_number 127
_space_group_name_Hall '-P 4 2ab'
loop_
_atom_site_label
_atom_site_type_symbol
_atom_site_fract_x
_atom_site_fract_y
_atom_site_fract_z
_atom_site_occupancy
Sr1 Sr 0.1814 0.3186 0.0000 1
Sn1 Sn 0.0000 0.0000 0.5000 1
Mo1 Mo 0.1076 0.6076 0.5000 1
```

=====

# 3
Structure and calculated X-ray powder pattern of SrAl4Ag8 (a crystal structure in Alexandria, relaxed with PBE; copper Kα).

Largest 6 diffraction maxima, in order of rising 2θ, 2θ from 10° to 90°:
2θ/deg	I/Imax
32.83	44
33.20	46
37.95	34
38.06	100
42.71	51
43.02	41

Atomic structure:
```
data_SrAl4Ag8
_chemical_formula_sum 'Sr2 Al8 Ag16'
_cell_length_a 9.4833
_cell_length_b 9.4833
_cell_length_c 5.3975
_cell_angle_alpha 90.00
_cell_angle_beta 90.00
_cell_angle_gamma 90.00
_space_group_name_H-M_alt 'I 4/m m m'
_space_group_IT_number 139
_space_group_name_Hall '-I 4 2'
loop_
_atom_site_label
_atom_site_type_symbol
_atom_site_fract_x
_atom_site_fract_y
_atom_site_fract_z
_atom_site_occupancy
Sr1 Sr 0.0000 0.0000 0.0000 1
Al1 Al 0.2500 0.2500 0.2500 1
Ag1 Ag 0.0000 0.2210 0.5000 1
Ag2 Ag 0.0000 0.3462 0.0000 1
```

=====

# 4
Structure and calculated X-ray powder pattern of Pr2SmEr12 (a crystal structure in Alexandria, relaxed with PBE; copper Kα).

Largest 6 diffraction maxima, in order of rising 2θ, 2θ from 10° to 90°:
2θ/deg	I/Imax
30.53	67
31.24	100
31.96	82
32.48	39
33.85	41
46.22	29

Atomic structure:
```
data_Pr2SmEr12
_chemical_formula_sum 'Pr8 Sm4 Er48'
_cell_length_a 7.1030
_cell_length_b 11.1996
_cell_length_c 24.1052
_cell_angle_alpha 90.00
_cell_angle_beta 94.13
_cell_angle_gamma 90.00
_space_group_name_H-M_alt 'C 1 2/m 1'
_space_group_IT_number 12
loop_
_space_group_symop_operation_xyz
'x,y,z'
'-x,-y,-z'
'-x,y,-z'
'x,-y,z'
'x+1/2,y+1/2,z'
'-x+1/2,-y+1/2,-z'
'-x+1/2,y+1/2,-z'
'x+1/2,-y+1/2,z'
loop_
_atom_site_label
_atom_site_type_symbol
_atom_site_fract_x
_atom_site_fract_y
_atom_site_fract_z
_atom_site_occupancy
Pr1 Pr 0.0695 0.0000 0.2806 1
Pr2 Pr 0.0695 0.5000 0.2802 1
Sm1 Sm 0.2502 0.0000 0.0000 1
Er1 Er 0.0166 0.2497 0.0670 1
Er2 Er 0.0326 0.0000 0.1356 1
Er3 Er 0.0326 0.5000 0.1352 1
Er4 Er 0.1113 0.2496 0.4450 1
Er5 Er 0.1419 0.5000 0.5701 1
Er6 Er 0.1426 0.0000 0.5697 1
Er7 Er 0.1676 0.2500 0.6697 1
Er8 Er 0.2032 0.2500 0.8083 1
```

=====

# 5
Structure and calculated X-ray powder pattern of RbCd4Pb12 (a crystal structure in Alexandria, relaxed with PBE; copper Kα).

Largest 6 diffraction maxima, in order of rising 2θ, 2θ from 10° to 90°:
2θ/deg	I/Imax
26.88	100
31.92	29
38.38	24
42.21	18
44.02	39
59.80	17

Atomic structure:
```
data_RbCd4Pb12
_chemical_formula_sum 'Rb2 Cd8 Pb24'
_cell_length_a 10.4896
_cell_length_b 10.4896
_cell_length_c 10.4896
_cell_angle_alpha 90.00
_cell_angle_beta 90.00
_cell_angle_gamma 90.00
_space_group_name_H-M_alt 'I m -3'
_space_group_IT_number 204
_space_group_name_Hall '-I 2 2 3'
loop_
_atom_site_label
_atom_site_type_symbol
_atom_site_fract_x
_atom_site_fract_y
_atom_site_fract_z
_atom_site_occupancy
Rb1 Rb 0.0000 0.0000 0.0000 1
Cd1 Cd 0.2500 0.2500 0.2500 1
Pb1 Pb 0.0000 0.1564 0.3540 1
```

=====

# 6
Structure and calculated X-ray powder pattern of DyHo2Tl9 (a crystal structure in Alexandria, relaxed with PBE; copper Kα).

Largest 6 diffraction maxima, in order of rising 2θ, 2θ from 10° to 90°:
2θ/deg	I/Imax
32.58	100
37.80	50
54.53	36
64.98	42
68.25	12
89.81	19

Atomic structure:
```
data_DyHo2Tl9
_chemical_formula_sum 'Dy1 Ho2 Tl9'
_cell_length_a 4.7601
_cell_length_b 4.7601
_cell_length_c 14.2807
_cell_angle_alpha 90.00
_cell_angle_beta 90.00
_cell_angle_gamma 90.00
_space_group_name_H-M_alt 'P 4/m m m'
_space_group_IT_number 123
_space_group_name_Hall '-P 4 2'
loop_
_atom_site_label
_atom_site_type_symbol
_atom_site_fract_x
_atom_site_fract_y
_atom_site_fract_z
_atom_site_occupancy
Dy1 Dy 0.0000 0.0000 0.0000 1
Ho1 Ho 0.0000 0.0000 0.3334 1
Tl1 Tl 0.0000 0.5000 0.1670 1
Tl2 Tl 0.0000 0.5000 0.5000 1
Tl3 Tl 0.5000 0.5000 0.0000 1
Tl4 Tl 0.5000 0.5000 0.3335 1
```

=====

# 7
Structure and calculated X-ray powder pattern of Pm2Nd6Sm3Pb (a crystal structure in Alexandria, relaxed with PBE; copper Kα).

Largest 6 diffraction maxima, in order of rising 2θ, 2θ from 10° to 90°:
2θ/deg	I/Imax
30.15	34
30.22	100
35.02	68
50.32	32
50.43	16
59.84	34

Atomic structure:
```
data_Pm2Nd6Sm3Pb
_chemical_formula_sum 'Pm4 Nd12 Sm6 Pb2'
_cell_length_a 6.2647
_cell_length_b 10.8760
_cell_length_c 12.0417
_cell_angle_alpha 90.00
_cell_angle_beta 100.11
_cell_angle_gamma 90.00
_space_group_name_H-M_alt 'C 1 2/m 1'
_space_group_IT_number 12
loop_
_space_group_symop_operation_xyz
'x,y,z'
'-x,-y,-z'
'-x,y,-z'
'x,-y,z'
'x+1/2,y+1/2,z'
'-x+1/2,-y+1/2,-z'
'-x+1/2,y+1/2,-z'
'x+1/2,-y+1/2,z'
loop_
_atom_site_label
_atom_site_type_symbol
_atom_site_fract_x
_atom_site_fract_y
_atom_site_fract_z
_atom_site_occupancy
Pm1 Pm 0.0000 0.1660 0.0000 1
Nd1 Nd 0.2411 0.5000 0.7503 1
Nd2 Nd 0.2455 0.3377 0.2479 1
Sm1 Sm 0.0000 0.0000 0.5000 1
Sm2 Sm 0.0000 0.3310 0.5000 1
Pb1 Pb 0.0000 0.5000 0.0000 1
```

=====

# 8
Structure and calculated X-ray powder pattern of NdB3Rh3 (a crystal structure in Alexandria, relaxed with PBE; copper Kα).

Largest 6 diffraction maxima, in order of rising 2θ, 2θ from 10° to 90°:
2θ/deg	I/Imax
25.10	41
30.15	80
30.42	82
30.60	61
36.04	100
38.16	67

Atomic structure:
```
data_NdB3Rh3
_chemical_formula_sum 'Nd4 B12 Rh12'
_cell_length_a 7.0821
_cell_length_b 7.0084
_cell_length_c 8.1024
_cell_angle_alpha 90.00
_cell_angle_beta 91.29
_cell_angle_gamma 90.00
_space_group_name_H-M_alt 'P 1 21 1'
_space_group_IT_number 4
loop_
_space_group_symop_operation_xyz
'x,y,z'
'-x,y+1/2,-z'
loop_
_atom_site_label
_atom_site_type_symbol
_atom_site_fract_x
_atom_site_fract_y
_atom_site_fract_z
_atom_site_occupancy
Nd1 Nd 0.2124 0.0000 0.1123 1
Nd2 Nd 0.2460 0.5975 0.6398 1
B1 B 0.0140 0.6161 0.1722 1
B2 B 0.0760 0.8930 0.4858 1
B3 B 0.1399 0.3002 0.8659 1
B4 B 0.3668 0.2614 0.4216 1
B5 B 0.4219 0.6997 0.9347 1
B6 B 0.4603 0.1664 0.6113 1
Rh1 Rh 0.0987 0.3730 0.3157 1
Rh2 Rh 0.1301 0.1796 0.6093 1
Rh3 Rh 0.2114 0.5340 0.0128 1
Rh4 Rh 0.3789 0.9293 0.4595 1
Rh5 Rh 0.4317 0.2636 0.8483 1
Rh6 Rh 0.4708 0.3961 0.2143 1
```

=====

# 9
Structure and calculated X-ray powder pattern of LiIn6Hg8 (a crystal structure in Alexandria, relaxed with PBE; copper Kα).

Largest 6 diffraction maxima, in order of rising 2θ, 2θ from 10° to 90°:
2θ/deg	I/Imax
29.52	15
31.60	28
31.90	23
34.99	100
36.23	21
56.27	15

Atomic structure:
```
data_LiIn6Hg8
_chemical_formula_sum 'Li1 In6 Hg8'
_cell_length_a 8.6505
_cell_length_b 8.6505
_cell_length_c 6.0510
_cell_angle_alpha 90.00
_cell_angle_beta 90.00
_cell_angle_gamma 120.00
_space_group_name_H-M_alt 'P -3'
_space_group_IT_number 147
loop_
_space_group_symop_operation_xyz
'x,y,z'
'-x,-y,-z'
'-y,x-y,z'
'y,-x+y,-z'
'-x+y,-x,z'
'x-y,x,-z'
loop_
_atom_site_label
_atom_site_type_symbol
_atom_site_fract_x
_atom_site_fract_y
_atom_site_fract_z
_atom_site_occupancy
Li1 Li 0.0000 0.0000 0.0000 1
In1 In 0.1081 0.4446 0.1680 1
Hg1 Hg 0.0639 0.2722 0.6946 1
Hg2 Hg 0.3333 0.6667 0.6253 1
```

=====

# 10
Structure and calculated X-ray powder pattern of RbTl2Sn (a crystal structure in Alexandria, relaxed with PBE; copper Kα).

Largest 6 diffraction maxima, in order of rising 2θ, 2θ from 10° to 90°:
2θ/deg	I/Imax
15.22	100
27.18	69
30.41	74
31.79	65
33.00	52
37.35	38

Atomic structure:
```
data_RbTl2Sn
_chemical_formula_sum 'Rb4 Tl8 Sn4'
_cell_length_a 7.3344
_cell_length_b 9.6353
_cell_length_c 10.5386
_cell_angle_alpha 90.00
_cell_angle_beta 127.28
_cell_angle_gamma 90.00
_space_group_name_H-M_alt 'P 1 21/c 1'
_space_group_IT_number 14
loop_
_space_group_symop_operation_xyz
'x,y,z'
'-x,-y,-z'
'-x,y+1/2,-z+1/2'
'x,-y+1/2,z+1/2'
loop_
_atom_site_label
_atom_site_type_symbol
_atom_site_fract_x
_atom_site_fract_y
_atom_site_fract_z
_atom_site_occupancy
Rb1 Rb 0.1341 0.0255 0.2432 1
Tl1 Tl 0.2756 0.1170 0.6581 1
Tl2 Tl 0.4976 0.1640 0.0377 1
Sn1 Sn 0.2493 0.6968 0.0961 1
```

=====

# 11
Structure and calculated X-ray powder pattern of Bi2O5 (a crystal structure in Alexandria, relaxed with PBE; copper Kα).

Largest 6 diffraction maxima, in order of rising 2θ, 2θ from 10° to 90°:
2θ/deg	I/Imax
21.90	100
22.05	77
25.73	51
28.69	72
31.27	47
36.38	64

Atomic structure:
```
data_Bi2O5
_chemical_formula_sum 'Bi4 O10'
_cell_length_a 4.2133
_cell_length_b 4.0594
_cell_length_c 13.8492
_cell_angle_alpha 90.00
_cell_angle_beta 90.01
_cell_angle_gamma 90.00
_space_group_name_H-M_alt 'P 1 m 1'
_space_group_IT_number 6
loop_
_space_group_symop_operation_xyz
'x,y,z'
'x,-y,z'
loop_
_atom_site_label
_atom_site_type_symbol
_atom_site_fract_x
_atom_site_fract_y
_atom_site_fract_z
_atom_site_occupancy
Bi1 Bi 0.0000 0.0000 0.0000 1
Bi2 Bi 0.0011 0.0000 0.2833 1
Bi3 Bi 0.5057 0.0000 0.7896 1
Bi4 Bi 0.5069 0.0000 0.4937 1
O1 O 0.0029 0.0000 0.8366 1
O2 O 0.0041 0.0000 0.4467 1
O3 O 0.1351 0.5000 0.9983 1
O4 O 0.1364 0.5000 0.2850 1
O5 O 0.4713 0.5000 0.7530 1
O6 O 0.4738 0.5000 0.5305 1
O7 O 0.5122 0.0000 0.9507 1
O8 O 0.5134 0.0000 0.3326 1
O9 O 0.6637 0.0000 0.6418 1
O10 O 0.8149 0.0000 0.1417 1
```

=====

# 12
Structure and calculated X-ray powder pattern of LiGeI2 (a crystal structure in Alexandria, relaxed with PBE; copper Kα).

Largest 6 diffraction maxima, in order of rising 2θ, 2θ from 10° to 90°:
2θ/deg	I/Imax
26.61	35
29.48	100
31.48	20
39.08	38
45.11	36
54.81	17

Atomic structure:
```
data_LiGeI2
_chemical_formula_sum 'Li3 Ge3 I6'
_cell_length_a 4.0199
_cell_length_b 4.0199
_cell_length_c 24.6034
_cell_angle_alpha 90.00
_cell_angle_beta 90.00
_cell_angle_gamma 120.00
_space_group_name_H-M_alt 'R -3 m'
_space_group_IT_number 166
_space_group_name_Hall '-R 3 2"'
loop_
_atom_site_label
_atom_site_type_symbol
_atom_site_fract_x
_atom_site_fract_y
_atom_site_fract_z
_atom_site_occupancy
Li1 Li 0.0000 0.0000 0.0000 1
Ge1 Ge 0.0000 0.0000 0.5000 1
I1 I 0.0000 0.0000 0.2614 1
```